Record 1
Structure and calculated powder X-ray diffraction pattern of SiNi4 (a DFT-relaxed cell (GGA-PBE, Alexandria); Cu Kα X-rays).
Peak positions follow from Bragg's law for the DFT cell and can differ from measured ones.

Structure:
```
data_SiNi4
_chemical_formula_sum 'Si2 Ni8'
_cell_length_a 6.7559
_cell_length_b 6.7559
_cell_length_c 6.7559
_cell_angle_alpha 147.74
_cell_angle_beta 138.04
_cell_angle_gamma 53.90
_space_group_name_H-M_alt 'P 1'
_space_group_IT_number 1
loop_
_space_group_symop_operation_xyz
'x,y,z'
loop_
_atom_site_label
_atom_site_fract_x
_atom_site_fract_y
_atom_site_fract_z
_atom_site_occupancy
Si1 0.3588 0.1088 0.2500 1
Si2 0.6412 0.8912 0.7500 1
Ni1 0.0000 0.5000 0.5000 1
Ni2 0.1519 0.9019 0.2500 1
Ni3 0.1944 0.6950 0.4994 1
Ni4 0.3045 0.3050 0.9994 1
Ni5 0.5000 0.5000 0.0000 1
Ni6 0.6955 0.6950 0.0006 1
Ni7 0.8056 0.3050 0.5006 1
Ni8 0.8481 0.0981 0.7500 1
```

Top 10 peaks for 15° ≤ 2θ ≤ 90°, sorted by position:
| 2θ/deg | d/Å | intensity |
| --- | --- | --- |
| 37.2 | 2.419 | 11 |
| 44.7 | 2.027 | 100 |
| 45.2 | 2.005 | 82 |
| 48.3 | 1.886 | 27 |
| 48.5 | 1.877 | 40 |
| 59.9 | 1.545 | 19 |
| 70.8 | 1.330 | 16 |
| 80.5 | 1.193 | 15 |
| 87.9 | 1.110 | 13 |
| 88.3 | 1.107 | 11 |

***

Record 2
Structure and calculated powder X-ray diffraction pattern of SiNi2 (a DFT-relaxed cell (GGA-PBE, Alexandria); Cu Kα X-rays).
Peak positions follow from Bragg's law for the DFT cell and can differ from measured ones.

Structure:
```
data_SiNi2
_chemical_formula_sum 'Si4 Ni8'
_cell_length_a 4.9898
_cell_length_b 3.7329
_cell_length_c 7.0901
_cell_angle_alpha 90.00
_cell_angle_beta 90.00
_cell_angle_gamma 90.00
_space_group_name_H-M_alt 'P 1'
_space_group_IT_number 1
loop_
_space_group_symop_operation_xyz
'x,y,z'
loop_
_atom_site_label
_atom_site_fract_x
_atom_site_fract_y
_atom_site_fract_z
_atom_site_occupancy
Si1 0.2109 0.2500 0.1136 1
Si2 0.2891 0.7500 0.6136 1
Si3 0.7109 0.2500 0.3864 1
Si4 0.7891 0.7500 0.8864 1
Ni1 0.0401 0.2500 0.7938 1
Ni2 0.1712 0.2500 0.4394 1
Ni3 0.3288 0.7500 0.9394 1
Ni4 0.4599 0.7500 0.2938 1
Ni5 0.5401 0.2500 0.7062 1
Ni6 0.6712 0.2500 0.0606 1
Ni7 0.8288 0.7500 0.5606 1
Ni8 0.9599 0.7500 0.2062 1
```

Top 10 peaks for 15° ≤ 2θ ≤ 90°, sorted by position:
| 2θ/deg | d/Å | intensity |
| --- | --- | --- |
| 32.5 | 2.754 | 25 |
| 39.4 | 2.285 | 43 |
| 42.3 | 2.136 | 30 |
| 43.6 | 2.074 | 69 |
| 44.4 | 2.040 | 40 |
| 45.4 | 1.997 | 100 |
| 45.6 | 1.991 | 87 |
| 48.8 | 1.866 | 62 |
| 49.1 | 1.854 | 25 |
| 53.4 | 1.716 | 25 |

***

Record 3
Structure and calculated powder X-ray diffraction pattern of Sm6Si3Ni2 (a DFT-relaxed cell (GGA-PBE, Alexandria); Cu Kα X-rays).
Peak positions follow from Bragg's law for the DFT cell and can differ from measured ones.

Structure:
```
data_Sm6Si3Ni2
_chemical_formula_sum 'Sm12 Si6 Ni4'
_cell_length_a 11.5313
_cell_length_b 4.4520
_cell_length_c 11.6105
_cell_angle_alpha 90.00
_cell_angle_beta 118.78
_cell_angle_gamma 90.00
_space_group_name_H-M_alt 'P 1'
_space_group_IT_number 1
loop_
_space_group_symop_operation_xyz
'x,y,z'
loop_
_atom_site_label
_atom_site_fract_x
_atom_site_fract_y
_atom_site_fract_z
_atom_site_occupancy
Sm1 0.0000 0.0000 0.0000 1
Sm2 0.0086 0.5000 0.2402 1
Sm3 0.1088 0.5000 0.6063 1
Sm4 0.2224 0.5000 0.9812 1
Sm5 0.2542 0.0000 0.4599 1
Sm6 0.3789 0.0000 0.8428 1
Sm7 0.4625 0.0000 0.2053 1
Sm8 0.4882 0.5000 0.4471 1
Sm9 0.6210 0.0000 0.7314 1
Sm10 0.7221 0.0000 0.0788 1
Sm11 0.7624 0.5000 0.3566 1
Sm12 0.8620 0.5000 0.7024 1
Si1 0.0851 0.0000 0.7828 1
Si2 0.3955 0.5000 0.6590 1
Si3 0.5194 0.5000 0.0615 1
Si4 0.5732 0.5000 0.8841 1
Si5 0.8020 0.5000 0.9329 1
Si6 0.9056 0.0000 0.5465 1
Ni1 0.2404 0.2521 0.2245 1
Ni2 0.2404 0.7479 0.2245 1
Ni3 0.6759 0.0000 0.4885 1
Ni4 0.9495 0.0000 0.3647 1
```

Top 10 peaks for 15° ≤ 2θ ≤ 90°, sorted by position:
| 2θ/deg | d/Å | intensity |
| --- | --- | --- |
| 21.8 | 4.072 | 23 |
| 30.7 | 2.915 | 63 |
| 31.0 | 2.884 | 100 |
| 31.6 | 2.831 | 25 |
| 32.1 | 2.786 | 22 |
| 32.3 | 2.771 | 22 |
| 33.4 | 2.686 | 15 |
| 33.7 | 2.661 | 15 |
| 40.5 | 2.226 | 31 |
| 40.8 | 2.214 | 20 |

***

Record 4
Structure and calculated powder X-ray diffraction pattern of Sm2Si3Ni (a DFT-relaxed cell (GGA-PBE, Alexandria); Cu Kα X-rays).
Peak positions follow from Bragg's law for the DFT cell and can differ from measured ones.

Structure:
```
data_Sm2Si3Ni
_chemical_formula_sum 'Sm2 Si3 Ni1'
_cell_length_a 4.0351
_cell_length_b 4.0351
_cell_length_c 8.2951
_cell_angle_alpha 90.00
_cell_angle_beta 90.00
_cell_angle_gamma 120.00
_space_group_name_H-M_alt 'P 1'
_space_group_IT_number 1
loop_
_space_group_symop_operation_xyz
'x,y,z'
loop_
_atom_site_label
_atom_site_fract_x
_atom_site_fract_y
_atom_site_fract_z
_atom_site_occupancy
Sm1 0.0000 0.0000 0.2456 1
Sm2 0.0000 0.0000 0.7544 1
Si1 0.3333 0.6667 0.5000 1
Si2 0.6667 0.3333 0.0000 1
Si3 0.6667 0.3333 0.5000 1
Ni1 0.3333 0.6667 0.0000 1
```

Top 10 peaks for 15° ≤ 2θ ≤ 90°, sorted by position:
| 2θ/deg | d/Å | intensity |
| --- | --- | --- |
| 21.4 | 4.148 | 7 |
| 25.5 | 3.495 | 36 |
| 33.5 | 2.672 | 100 |
| 43.6 | 2.074 | 11 |
| 44.9 | 2.018 | 31 |
| 51.2 | 1.783 | 11 |
| 57.2 | 1.610 | 21 |
| 64.4 | 1.446 | 21 |
| 73.7 | 1.286 | 10 |
| 75.5 | 1.259 | 19 |

***

Record 5
Structure and calculated powder X-ray diffraction pattern of Sm3Si2Ni2 (a DFT-relaxed cell (GGA-PBE, Alexandria); Cu Kα X-rays).
Peak positions follow from Bragg's law for the DFT cell and can differ from measured ones.

Structure:
```
data_Sm3Si2Ni2
_chemical_formula_sum 'Sm12 Si8 Ni8'
_cell_length_a 5.5957
_cell_length_b 7.8931
_cell_length_c 12.6857
_cell_angle_alpha 90.00
_cell_angle_beta 90.00
_cell_angle_gamma 90.00
_space_group_name_H-M_alt 'P 1'
_space_group_IT_number 1
loop_
_space_group_symop_operation_xyz
'x,y,z'
loop_
_atom_site_label
_atom_site_fract_x
_atom_site_fract_y
_atom_site_fract_z
_atom_site_occupancy
Sm1 0.1326 0.1115 0.1015 1
Sm2 0.1326 0.1115 0.3985 1
Sm3 0.1326 0.3885 0.6015 1
Sm4 0.1326 0.3885 0.8985 1
Sm5 0.3567 0.7430 0.7500 1
Sm6 0.3567 0.7570 0.2500 1
Sm7 0.6433 0.2430 0.7500 1
Sm8 0.6433 0.2570 0.2500 1
Sm9 0.8674 0.6115 0.1015 1
Sm10 0.8674 0.6115 0.3985 1
Sm11 0.8674 0.8885 0.6015 1
Sm12 0.8674 0.8885 0.8985 1
Si1 0.1677 0.0925 0.7500 1
Si2 0.1677 0.4075 0.2500 1
Si3 0.3665 0.7500 0.0000 1
Si4 0.3665 0.7500 0.5000 1
Si5 0.6335 0.2500 0.0000 1
Si6 0.6335 0.2500 0.5000 1
Si7 0.8323 0.5925 0.7500 1
Si8 0.8323 0.9075 0.2500 1
Ni1 0.3862 0.0327 0.5882 1
Ni2 0.3862 0.0327 0.9118 1
Ni3 0.3862 0.4673 0.0882 1
Ni4 0.3862 0.4673 0.4118 1
Ni5 0.6138 0.5327 0.5882 1
Ni6 0.6138 0.5327 0.9118 1
Ni7 0.6138 0.9673 0.0882 1
Ni8 0.6138 0.9673 0.4118 1
```

Top 10 peaks for 15° ≤ 2θ ≤ 90°, sorted by position:
| 2θ/deg | d/Å | intensity |
| --- | --- | --- |
| 24.0 | 3.705 | 49 |
| 31.0 | 2.885 | 53 |
| 34.0 | 2.637 | 74 |
| 34.4 | 2.605 | 74 |
| 35.0 | 2.564 | 60 |
| 36.3 | 2.472 | 39 |
| 37.8 | 2.381 | 72 |
| 40.3 | 2.238 | 100 |
| 42.8 | 2.114 | 41 |
| 58.4 | 1.581 | 36 |

***

Record 6
Structure and calculated powder X-ray diffraction pattern of Sm3Si2Ni9Sn (a DFT-relaxed cell (GGA-PBE, Alexandria); Cu Kα X-rays).
Peak positions follow from Bragg's law for the DFT cell and can differ from measured ones.

Structure:
```
data_Sm3Si2Ni9Sn
_chemical_formula_sum 'Sm3 Si2 Ni9 Sn1'
_cell_length_a 5.8919
_cell_length_b 5.8919
_cell_length_c 8.8680
_cell_angle_alpha 90.00
_cell_angle_beta 90.00
_cell_angle_gamma 120.00
_space_group_name_H-M_alt 'P 1'
_space_group_IT_number 1
loop_
_space_group_symop_operation_xyz
'x,y,z'
loop_
_atom_site_label
_atom_site_fract_x
_atom_site_fract_y
_atom_site_fract_z
_atom_site_occupancy
Sm1 0.0000 0.0000 0.0000 1
Sm2 0.3333 0.6667 0.6948 1
Sm3 0.6667 0.3333 0.3052 1
Si1 0.3333 0.6667 0.1684 1
Si2 0.6667 0.3333 0.8316 1
Ni1 0.0000 0.5000 0.0000 1
Ni2 0.1405 0.2809 0.2676 1
Ni3 0.1405 0.8595 0.2676 1
Ni4 0.2809 0.1405 0.7324 1
Ni5 0.5000 0.0000 0.0000 1
Ni6 0.5000 0.5000 0.0000 1
Ni7 0.7191 0.8595 0.2676 1
Ni8 0.8595 0.1405 0.7324 1
Ni9 0.8595 0.7191 0.7324 1
Sn1 0.0000 0.0000 0.5000 1
```

Top 10 peaks for 15° ≤ 2θ ≤ 90°, sorted by position:
| 2θ/deg | d/Å | intensity |
| --- | --- | --- |
| 17.4 | 5.103 | 18 |
| 20.1 | 4.426 | 20 |
| 26.6 | 3.347 | 36 |
| 30.3 | 2.946 | 36 |
| 36.7 | 2.452 | 69 |
| 40.7 | 2.217 | 18 |
| 40.8 | 2.211 | 100 |
| 44.6 | 2.033 | 20 |
| 51.7 | 1.769 | 30 |
| 63.1 | 1.473 | 27 |

***

Record 7
Structure and calculated powder X-ray diffraction pattern of SmSi2TcNi (a DFT-relaxed cell (GGA-PBE, Alexandria); Cu Kα X-rays).
Peak positions follow from Bragg's law for the DFT cell and can differ from measured ones.

Structure:
```
data_SmSi2TcNi
_chemical_formula_sum 'Sm2 Si4 Tc2 Ni2'
_cell_length_a 4.0701
_cell_length_b 4.0701
_cell_length_c 10.0392
_cell_angle_alpha 90.00
_cell_angle_beta 90.00
_cell_angle_gamma 90.00
_space_group_name_H-M_alt 'P 1'
_space_group_IT_number 1
loop_
_space_group_symop_operation_xyz
'x,y,z'
loop_
_atom_site_label
_atom_site_fract_x
_atom_site_fract_y
_atom_site_fract_z
_atom_site_occupancy
Sm1 0.0000 0.0000 0.0000 1
Sm2 0.5000 0.5000 0.5000 1
Si1 0.0000 0.0000 0.3729 1
Si2 0.0000 0.0000 0.6271 1
Si3 0.5000 0.5000 0.1271 1
Si4 0.5000 0.5000 0.8729 1
Tc1 0.0000 0.5000 0.7500 1
Tc2 0.5000 0.0000 0.2500 1
Ni1 0.0000 0.5000 0.2500 1
Ni2 0.5000 0.0000 0.7500 1
```

Top 10 peaks for 15° ≤ 2θ ≤ 90°, sorted by position:
| 2θ/deg | d/Å | intensity |
| --- | --- | --- |
| 23.6 | 3.772 | 39 |
| 34.7 | 2.585 | 42 |
| 35.8 | 2.510 | 17 |
| 36.0 | 2.497 | 100 |
| 44.5 | 2.035 | 38 |
| 50.7 | 1.801 | 14 |
| 57.7 | 1.599 | 19 |
| 58.4 | 1.581 | 16 |
| 64.4 | 1.446 | 18 |
| 76.4 | 1.247 | 21 |

***

Record 8
Structure and calculated powder X-ray diffraction pattern of Sm2Zn3SiNi12 (a DFT-relaxed cell (GGA-PBE, Alexandria); Cu Kα X-rays).
Peak positions follow from Bragg's law for the DFT cell and can differ from measured ones.

Structure:
```
data_Sm2Zn3SiNi12
_chemical_formula_sum 'Sm2 Zn3 Si1 Ni12'
_cell_length_a 9.0500
_cell_length_b 9.0500
_cell_length_c 9.0500
_cell_angle_alpha 39.18
_cell_angle_beta 39.18
_cell_angle_gamma 39.18
_space_group_name_H-M_alt 'P 1'
_space_group_IT_number 1
loop_
_space_group_symop_operation_xyz
'x,y,z'
loop_
_atom_site_label
_atom_site_fract_x
_atom_site_fract_y
_atom_site_fract_z
_atom_site_occupancy
Sm1 0.1534 0.1534 0.1534 1
Sm2 0.8466 0.8466 0.8466 1
Zn1 0.0000 0.5000 0.5000 1
Zn2 0.5000 0.0000 0.5000 1
Zn3 0.5000 0.5000 0.0000 1
Si1 0.5000 0.5000 0.5000 1
Ni1 0.0779 0.0779 0.6890 1
Ni2 0.0779 0.6890 0.0779 1
Ni3 0.1506 0.5732 0.5732 1
Ni4 0.3110 0.9221 0.9221 1
Ni5 0.4268 0.4268 0.8494 1
Ni6 0.4268 0.8494 0.4268 1
Ni7 0.5732 0.1506 0.5732 1
Ni8 0.5732 0.5732 0.1506 1
Ni9 0.6890 0.0779 0.0779 1
Ni10 0.8494 0.4268 0.4268 1
Ni11 0.9221 0.3110 0.9221 1
Ni12 0.9221 0.9221 0.3110 1
```

Top 10 peaks for 15° ≤ 2θ ≤ 90°, sorted by position:
| 2θ/deg | d/Å | intensity |
| --- | --- | --- |
| 31.4 | 2.852 | 100 |
| 34.3 | 2.613 | 42 |
| 36.6 | 2.454 | 44 |
| 37.1 | 2.423 | 64 |
| 39.9 | 2.260 | 66 |
| 45.1 | 2.012 | 46 |
| 46.3 | 1.962 | 59 |
| 53.4 | 1.714 | 27 |
| 57.0 | 1.615 | 36 |
| 61.1 | 1.517 | 43 |